No. 1
Simulated powder diffraction line list of Mg7ScIn4 for a wavelength of 1.5418 Å, from a cell relaxed with PBE.
Intensities are scaled so that the largest is 100.

Peak list (12 most intense, 10 to 90 degrees two-theta, in order of falling intensity)
two_theta	Rel. int.
23.32	100
32.65	96
37.62	93
18.38	88
29.71	72
27.16	71
39.28	64
40.43	55
33.78	52
20.48	46
44.73	46
47.69	38

Structural model:
```
12
Lattice="6.3614 -2.7423 0.0000 6.3614 2.7423 0.0000 -6.1723 0.0000 8.6730" Properties=species:S:1:pos:R:3 pbc="T T T"
Mg 0.0000 0.0000 0.0000
Mg -3.2397 0.0000 7.7639
Mg -1.1245 0.0000 5.6554
Mg 1.8354 0.0000 5.0066
Mg 4.7151 0.0000 3.6665
Mg 7.6751 0.0000 3.0176
Mg 9.7903 0.0000 0.9091
Sc 6.3614 0.0000 0.0000
In -0.6094 0.0000 2.7921
In 2.3557 0.0000 1.9383
In 4.1949 0.0000 6.7348
In 7.1600 0.0000 5.8809
```

***

No. 2
Simulated powder diffraction line list of Mg14ScIn for a wavelength of 1.5418 Å, from a cell relaxed with PBE.
Intensities are scaled so that the largest is 100.

Peak list (12 most intense, 10 to 90 degrees two-theta, in order of falling intensity)
two_theta	Rel. int.
34.37	100
38.82	35
67.44	26
58.48	20
10.27	19
21.76	14
41.96	14
56.07	12
71.77	11
72.43	10
16.99	10
19.13	10

Structural model:
```
16
Lattice="6.5605 0.0000 0.0000 0.0000 6.5605 0.0000 0.0000 0.0000 8.6134" Properties=species:S:1:pos:R:3 pbc="T T T"
Mg 0.0000 0.0000 0.0000
Mg 0.0000 3.2803 0.0000
Mg 0.0000 3.2803 4.3067
Mg 1.6281 1.6281 2.1452
Mg 1.6281 1.6281 6.4683
Mg 1.6281 4.9324 2.1452
Mg 1.6281 4.9324 6.4683
Mg 3.2803 0.0000 0.0000
Mg 3.2803 0.0000 4.3067
Mg 3.2803 3.2803 0.0000
Mg 4.9324 1.6281 2.1452
Mg 4.9324 1.6281 6.4683
Mg 4.9324 4.9324 2.1452
Mg 4.9324 4.9324 6.4683
Sc 0.0000 0.0000 4.3067
In 3.2803 3.2803 4.3067
```

***

No. 3
Simulated powder diffraction line list of SmMgSc2In4 for a wavelength of 1.5418 Å, from a cell relaxed with PBE.
Intensities are scaled so that the largest is 100.

Peak list (12 most intense, 10 to 90 degrees two-theta, in order of falling intensity)
two_theta	Rel. int.
34.41	100
35.18	96
50.03	34
62.63	33
24.41	18
61.13	17
63.13	17
84.58	14
83.25	14
26.55	10
74.37	10
20.39	10

Structural model:
```
8
Lattice="2.5509 1.4728 8.6077 -2.5509 1.4728 8.6077 0.0000 -2.9456 8.6077" Properties=species:S:1:pos:R:3 pbc="T T T"
Sm 0.0000 0.0000 0.0000
Mg 0.0000 0.0000 12.9116
Sc 0.0000 0.0000 6.3599
Sc 0.0000 0.0000 19.4633
In 0.0000 0.0000 3.2784
In 0.0000 0.0000 9.7972
In 0.0000 0.0000 16.0260
In 0.0000 0.0000 22.5447
```

***

No. 4
Simulated powder diffraction line list of MgIn5Se8 for a wavelength of 1.5418 Å, from a cell relaxed with PBE.
Intensities are scaled so that the largest is 100.

Peak list (12 most intense, 10 to 90 degrees two-theta, in order of falling intensity)
two_theta	Rel. int.
44.28	100
30.91	83
25.53	63
40.50	38
13.25	32
81.49	30
73.15	24
54.97	20
64.41	15
61.55	14
87.12	12
70.47	10

Structural model:
```
14
Lattice="0.0000 5.7862 5.7862 5.7862 0.0000 5.7862 5.7862 5.7862 0.0000" Properties=species:S:1:pos:R:3 pbc="T T T"
Mg 0.0000 0.0000 0.0000
In 7.2605 4.3118 4.3118
In 2.8931 2.8931 2.8931
In 4.3118 7.2605 4.3118
In 4.3118 4.3118 7.2605
In 7.2605 7.2605 7.2605
Se 4.4482 4.4482 4.4482
Se 7.1242 7.1242 4.4482
Se 7.1242 4.4482 7.1242
Se 10.0504 7.3080 7.3080
Se 4.4482 7.1242 7.1242
Se 7.3080 10.0504 7.3080
Se 7.3080 7.3080 10.0504
Se 10.0504 10.0504 10.0504
```

***

No. 5
Simulated powder diffraction line list of MgInSn2Se5 for a wavelength of 1.5418 Å, from a cell relaxed with PBE.
Intensities are scaled so that the largest is 100.

Peak list (12 most intense, 10 to 90 degrees two-theta, in order of falling intensity)
two_theta	Rel. int.
30.93	100
18.93	38
44.17	32
38.04	32
26.59	27
16.38	26
45.33	26
29.48	23
27.46	22
36.14	16
22.60	16
35.66	14

Structural model:
```
18
Lattice="2.0004 -10.0716 0.0000 2.0004 10.0716 0.0000 0.0000 0.0000 12.8313" Properties=species:S:1:pos:R:3 pbc="T T T"
Mg 2.0004 6.2530 6.4156
Mg 2.0004 -6.2530 0.0000
In 2.0004 1.0515 11.5450
In 2.0004 -1.0515 5.1293
Sn 2.0004 7.4694 10.3700
Sn 2.0004 6.4900 2.0322
Sn 2.0004 -6.4900 8.4478
Sn 2.0004 -7.4694 3.9544
Se 2.0004 8.9991 6.7662
Se 2.0004 3.8465 1.9085
Se 2.0004 3.6220 10.7645
Se 2.0004 3.4477 6.5059
Se 2.0004 0.7094 3.2605
Se 2.0004 -0.7094 9.6761
Se 2.0004 -3.4477 0.0902
Se 2.0004 -3.6220 4.3489
Se 2.0004 -3.8465 8.3241
Se 2.0004 -8.9991 0.3506
```

***

No. 6
Simulated powder diffraction line list of Mg2InSi for a wavelength of 1.5418 Å, from a cell relaxed with PBE.
Intensities are scaled so that the largest is 100.

Peak list (12 most intense, 10 to 90 degrees two-theta, in order of falling intensity)
two_theta	Rel. int.
35.88	100
19.81	43
40.24	36
29.61	33
70.31	26
28.15	22
21.79	21
61.47	20
50.74	15
44.41	13
58.22	12
46.22	11

Structural model:
```
4
Lattice="4.4824 0.0000 0.0000 0.0000 4.4824 0.0000 0.0000 0.0000 4.0796" Properties=species:S:1:pos:R:3 pbc="T T T"
Mg 0.0000 2.2412 0.0000
Mg 2.2412 0.0000 0.0000
In 0.0000 0.0000 2.0398
Si 2.2412 2.2412 2.0398
```

***

No. 7
Simulated powder diffraction line list of Mg2InSi for a wavelength of 1.5418 Å, from a cell relaxed with PBE.
Intensities are scaled so that the largest is 100.

Peak list (12 most intense, 10 to 90 degrees two-theta, in order of falling intensity)
two_theta	Rel. int.
33.57	100
10.11	78
41.37	52
20.30	30
70.51	29
31.36	28
30.78	28
35.15	26
54.38	25
41.27	16
30.65	15
63.74	14

Structural model:
```
12
Lattice="3.3745 0.0000 0.0000 -1.6872 2.9224 0.0000 0.0000 0.0000 26.2489" Properties=species:S:1:pos:R:3 pbc="T T T"
Mg 0.0000 0.0000 6.2824
Mg 0.0000 0.0000 19.9665
Mg 0.0000 1.9483 11.2168
Mg 0.0000 1.9483 23.7817
Mg 1.6872 0.9741 2.4672
Mg 1.6872 0.9741 15.0321
In 0.0000 0.0000 0.0000
In 0.0000 1.9483 17.4993
In 1.6872 0.9741 8.7496
Si 0.0000 0.0000 13.1244
Si 0.0000 1.9483 4.3748
Si 1.6872 0.9741 21.8741
```

***

No. 8
Simulated powder diffraction line list of MgInSi2 for a wavelength of 1.5418 Å, from a cell relaxed with PBE.
Intensities are scaled so that the largest is 100.

Peak list (12 most intense, 10 to 90 degrees two-theta, in order of falling intensity)
two_theta	Rel. int.
36.61	100
41.90	65
17.03	40
34.46	36
25.67	29
37.65	26
34.81	26
73.06	23
35.18	21
62.18	20
59.32	20
51.95	14

Structural model:
```
12
Lattice="2.9861 0.0000 0.0000 -1.4930 2.5860 0.0000 0.0000 0.0000 31.2324" Properties=species:S:1:pos:R:3 pbc="T T T"
Mg 0.0000 0.0000 0.0000
Mg 0.0000 1.7240 20.8216
Mg 1.4930 0.8620 10.4108
In 0.0000 0.0000 15.6162
In 0.0000 1.7240 5.2054
In 1.4930 0.8620 26.0270
Si 0.0000 0.0000 8.0569
Si 0.0000 0.0000 23.1755
Si 0.0000 1.7240 12.7647
Si 0.0000 1.7240 28.8786
Si 1.4930 0.8620 2.3539
Si 1.4930 0.8620 18.4677
```

***

No. 9
Simulated powder diffraction line list of Sm2Mg16In for a wavelength of 1.5418 Å, from a cell relaxed with PBE.
Intensities are scaled so that the largest is 100.

Peak list (12 most intense, 10 to 90 degrees two-theta, in order of falling intensity)
two_theta	Rel. int.
17.31	100
35.14	95
30.21	81
35.03	78
24.72	74
35.82	40
15.36	33
40.04	31
31.11	29
63.45	26
31.00	25
29.10	25

Structural model:
```
19
Lattice="5.1233 2.9579 5.0637 -5.1233 2.9579 5.0637 0.0000 -5.9159 5.0637" Properties=species:S:1:pos:R:3 pbc="T T T"
Sm 0.0000 0.0000 0.0000
Sm 0.0000 0.0000 5.2843
Mg 0.0000 -2.8833 2.8692
Mg -2.4970 1.4417 2.8692
Mg -2.5911 -1.4960 7.7192
Mg 0.0000 -3.0465 7.4877
Mg -2.6384 1.5233 7.4877
Mg -1.5590 -2.7041 10.2455
Mg -3.1213 0.0020 10.2455
Mg 2.4970 1.4417 2.8692
Mg 1.5590 -2.7041 10.2455
Mg -1.5624 2.7022 10.2455
Mg 2.5911 -1.4960 7.7192
Mg 0.0000 2.9919 7.7192
Mg 0.0000 0.0000 11.6540
Mg 2.6384 1.5233 7.4877
Mg 3.1213 0.0020 10.2455
Mg 1.5624 2.7022 10.2455
In 0.0000 0.0000 8.6759
```

***

No. 10
Simulated powder diffraction line list of Sm2Mg3In3 for a wavelength of 1.5418 Å, from a cell relaxed with PBE.
Intensities are scaled so that the largest is 100.

Peak list (12 most intense, 10 to 90 degrees two-theta, in order of falling intensity)
two_theta	Rel. int.
33.34	100
18.61	23
27.42	18
37.73	18
38.21	17
65.33	16
40.11	15
66.00	13
68.59	12
54.78	12
70.03	11
56.23	11

Structural model:
```
8
Lattice="4.7103 0.0000 0.0000 0.0000 4.7689 0.0000 0.0000 0.0000 8.9933" Properties=species:S:1:pos:R:3 pbc="T T T"
Sm 0.0000 0.0000 2.2310
Sm 0.0000 0.0000 6.7624
Mg 0.0000 2.3845 4.4967
Mg 2.3552 2.3845 2.2415
Mg 2.3552 2.3845 6.7518
In 0.0000 2.3845 0.0000
In 2.3552 0.0000 0.0000
In 2.3552 0.0000 4.4967
```

***

No. 11
Simulated powder diffraction line list of Sm4MgIn3 for a wavelength of 1.5418 Å, from a cell relaxed with PBE.
Intensities are scaled so that the largest is 100.

Peak list (12 most intense, 10 to 90 degrees two-theta, in order of falling intensity)
two_theta	Rel. int.
32.98	100
33.21	49
59.19	37
58.75	19
47.67	18
69.18	11
46.99	9
78.28	8
79.44	8
79.31	8
23.32	6
88.35	6

Structural model:
```
16
Lattice="5.3953 0.0000 0.0000 0.0000 5.3953 0.0000 0.0000 0.0000 15.4706" Properties=species:S:1:pos:R:3 pbc="T T T"
Sm 0.0000 2.6977 1.9343
Sm 0.0000 2.6977 5.8010
Sm 0.0000 2.6977 9.6696
Sm 0.0000 2.6977 13.5363
Sm 2.6977 0.0000 1.9343
Sm 2.6977 0.0000 5.8010
Sm 2.6977 0.0000 9.6696
Sm 2.6977 0.0000 13.5363
Mg 0.0000 0.0000 0.0000
Mg 2.6977 2.6977 7.7353
In 0.0000 0.0000 3.8219
In 0.0000 0.0000 7.7353
In 0.0000 0.0000 11.6487
In 2.6977 2.6977 0.0000
In 2.6977 2.6977 3.9134
In 2.6977 2.6977 11.5572
```

***

No. 12
Simulated powder diffraction line list of Sm2Mg3In for a wavelength of 1.5418 Å, from a cell relaxed with PBE.
Intensities are scaled so that the largest is 100.

Peak list (12 most intense, 10 to 90 degrees two-theta, in order of falling intensity)
two_theta	Rel. int.
32.64	100
34.83	63
19.90	42
48.48	33
61.04	21
64.66	20
61.14	11
21.47	10
62.40	8
52.61	6
85.96	6
86.76	6

Structural model:
```
12
Lattice="0.0000 5.1592 8.9076 3.4794 0.0000 8.9076 3.4794 5.1592 0.0000" Properties=species:S:1:pos:R:3 pbc="T T T"
Sm 1.7397 2.5796 4.4538
Sm 5.2211 5.1592 8.9076
Sm 1.7376 5.1592 8.9076
Sm 5.2190 7.7387 13.3614
Mg 3.4794 5.1592 2.9832
Mg 3.4794 2.5987 7.4261
Mg 3.4794 2.5987 10.3891
Mg 3.4794 7.7196 7.4261
Mg 3.4794 7.7196 10.3891
Mg 3.4794 5.1592 14.8320
In 3.4794 5.1592 5.9519
In 3.4794 5.1592 11.8633
```

***

No. 13
Simulated powder diffraction line list of Sm5MgIn3 for a wavelength of 1.5418 Å, from a cell relaxed with PBE.
Intensities are scaled so that the largest is 100.

Peak list (12 most intense, 10 to 90 degrees two-theta, in order of falling intensity)
two_theta	Rel. int.
32.68	100
58.33	23
46.89	16
65.17	15
42.59	8
10.76	7
31.74	6
26.54	6
77.97	6
84.07	6
28.73	5
68.50	5

Structural model:
```
18
Lattice="9.4905 0.0000 0.0000 -4.7452 8.2190 0.0000 0.0000 0.0000 6.7164" Properties=species:S:1:pos:R:3 pbc="T T T"
Sm -1.4589 2.5268 1.6791
Sm -3.2864 5.6922 5.0373
Sm 2.9177 0.0000 1.6791
Sm 1.4589 2.5268 5.0373
Sm 0.0000 5.4793 0.0000
Sm 0.0000 5.4793 3.3582
Sm 4.7453 2.7397 0.0000
Sm 4.7453 2.7397 3.3582
Sm 6.5728 0.0000 5.0373
Sm 3.2864 5.6922 1.6791
Mg 0.0000 0.0000 0.0000
Mg 0.0000 0.0000 3.3582
In -1.6825 2.9141 5.0373
In -3.0628 5.3049 1.6791
In 3.3650 0.0000 5.0373
In 1.6825 2.9141 1.6791
In 6.1255 0.0000 1.6791
In 3.0628 5.3049 5.0373
```